No. 1
Diffraction record for Rb2CaGaF6. The powder diffractogram is simulated, not measured: it uses a PBE-relaxed structure and a wavelength of 1.5418 Å.
Lines closer than 0.1° are merged.

The 6 most intense peaks (2θ from 15° to 90°), low angle first:
Position (°2θ), d/Å, I (rel.)
28.45, 3.137, 1000
35.03, 2.561, 191
40.67, 2.218, 492
50.38, 1.811, 404
58.88, 1.569, 298
81.11, 1.186, 207

Atomic structure:
Cell lengths 6.2742, 6.2742, 6.2742 Å; angles 60.00, 60.00, 60.00 degrees
Sites, in units of the cell vectors:
Rb 0.2500 0.2500 0.2500
Rb 0.7500 0.7500 0.7500
Ca 0.0000 0.0000 0.0000
Ga 0.5000 0.5000 0.5000
F 0.2550 0.2550 0.7450
F 0.2550 0.7450 0.2550
F 0.2550 0.7450 0.7450
F 0.7450 0.2550 0.2550
F 0.7450 0.2550 0.7450
F 0.7450 0.7450 0.2550

No. 2
Diffraction record for CaTiH6O2F6. The powder diffractogram is simulated, not measured: it uses a PBE-relaxed structure and a wavelength of 1.5418 Å.
Lines closer than 0.1° are merged.

The 6 most intense peaks (2θ from 15° to 90°), low angle first:
Position (°2θ), d/Å, I (rel.)
16.34, 5.425, 660
17.37, 5.107, 817
22.78, 3.903, 661
25.02, 3.559, 441
36.04, 2.492, 454
38.07, 2.364, 1000

Atomic structure:
Cell lengths 6.0249, 6.0249, 5.4480 Å; angles 94.49, 94.49, 63.32 degrees
Sites, in units of the cell vectors:
Ca 0.0000 0.0000 0.0000
Ti 0.4978 0.5022 0.0000
H 0.2207 0.0385 0.5259
H 0.3139 0.1793 0.7267
H 0.6007 0.0914 0.3342
H 0.8207 0.6861 0.2733
H 0.9086 0.3993 0.6658
H 0.9615 0.7793 0.4741
O 0.1667 0.1495 0.6758
O 0.8505 0.8333 0.3242
F 0.1772 0.6582 0.7653
F 0.3418 0.8228 0.2347
F 0.4608 0.2579 0.3081
F 0.6126 0.1603 0.8196
F 0.7421 0.5392 0.6919
F 0.8397 0.3874 0.1804

No. 3
Diffraction record for CaTiH6O2F6. The powder diffractogram is simulated, not measured: it uses a PBE-relaxed structure and a wavelength of 1.5418 Å.
Lines closer than 0.1° are merged.

The 6 most intense peaks (2θ from 15° to 90°), low angle first:
Position (°2θ), d/Å, I (rel.)
20.66, 4.300, 1000
25.71, 3.466, 894
39.12, 2.303, 356
42.02, 2.150, 952
42.46, 2.129, 508
49.92, 1.827, 790

Atomic structure:
Cell lengths 6.9311, 6.9311, 6.1628 Å; angles 90.00, 90.00, 120.00 degrees
Sites, in units of the cell vectors:
Ca 0.0000 0.0000 0.0000
Ti 0.0000 0.0000 0.5000
H 0.2499 0.4998 0.7596
H 0.2499 0.7501 0.7596
H 0.4998 0.2499 0.2404
H 0.5002 0.7501 0.7596
H 0.7501 0.2499 0.2404
H 0.7501 0.5002 0.2404
O 0.3333 0.6667 0.8019
O 0.6667 0.3333 0.1981
F 0.1325 0.2650 0.7322
F 0.1325 0.8675 0.7322
F 0.2650 0.1325 0.2678
F 0.7350 0.8675 0.7322
F 0.8675 0.1325 0.2678
F 0.8675 0.7350 0.2678

No. 4
Diffraction record for CaTiH6O2F6. The powder diffractogram is simulated, not measured: it uses a PBE-relaxed structure and a wavelength of 1.5418 Å.
Lines closer than 0.1° are merged.

The 6 most intense peaks (2θ from 15° to 90°), low angle first:
Position (°2θ), d/Å, I (rel.)
18.24, 4.864, 316
23.40, 3.802, 288
24.34, 3.657, 1000
30.20, 2.960, 375
39.67, 2.272, 211
46.54, 1.951, 335

Atomic structure:
Cell lengths 6.8479, 6.8479, 5.8325 Å; angles 95.43, 95.43, 45.30 degrees
Sites, in units of the cell vectors:
Ca 0.0000 0.0000 0.0000
Ti 0.3936 0.6064 0.5000
H 0.0736 0.5125 0.7593
H 0.1912 0.1743 0.7646
H 0.4875 0.9264 0.2407
H 0.5485 0.1366 0.2343
H 0.8257 0.8088 0.2354
H 0.8634 0.4515 0.7657
O 0.0457 0.3888 0.8065
O 0.6112 0.9543 0.1935
F 0.0907 0.6888 0.2414
F 0.1076 0.6816 0.7236
F 0.3112 0.9093 0.7586
F 0.3184 0.8924 0.2764
F 0.6476 0.2983 0.2497
F 0.7017 0.3524 0.7503

No. 5
Diffraction record for CaHPb2F. The powder diffractogram is simulated, not measured: it uses a PBE-relaxed structure and a wavelength of 1.5418 Å.
Lines closer than 0.1° are merged.

The 6 most intense peaks (2θ from 15° to 90°), low angle first:
Position (°2θ), d/Å, I (rel.)
20.14, 4.409, 1000
23.59, 3.771, 553
28.63, 3.117, 842
31.21, 2.866, 906
37.43, 2.403, 692
52.36, 1.747, 438

Atomic structure:
Cell lengths 6.2349, 6.2349, 3.7714 Å; angles 90.00, 90.00, 90.00 degrees
Sites, in units of the cell vectors:
Ca 0.0000 0.0000 0.0000
H 0.0000 0.0000 0.5000
Pb 0.0000 0.5000 0.0000
Pb 0.5000 0.0000 0.0000
F 0.5000 0.5000 0.5000

No. 6
Diffraction record for Rb2CaH3F. The powder diffractogram is simulated, not measured: it uses a PBE-relaxed structure and a wavelength of 1.5418 Å.
Lines closer than 0.1° are merged.

The 6 most intense peaks (2θ from 15° to 90°), low angle first:
Position (°2θ), d/Å, I (rel.)
20.61, 4.310, 177
26.84, 3.322, 1000
28.02, 3.185, 427
37.30, 2.411, 165
40.04, 2.252, 233
48.86, 1.864, 369

Atomic structure:
Cell lengths 8.0382, 8.0382, 8.0382 Å; angles 147.50, 147.43, 46.68 degrees
Sites, in units of the cell vectors:
Rb 0.1471 0.1471 0.0000
Rb 0.8529 0.8529 0.0000
Ca 0.5000 0.5000 0.0000
H 0.3431 0.3431 0.0000
H 0.5000 0.0000 0.5000
H 0.6569 0.6569 0.0000
F 0.0000 0.5000 0.5000

No. 7
Diffraction record for Rb2CaHF6. The powder diffractogram is simulated, not measured: it uses a PBE-relaxed structure and a wavelength of 1.5418 Å.
Lines closer than 0.1° are merged.

The 6 most intense peaks (2θ from 15° to 90°), low angle first:
Position (°2θ), d/Å, I (rel.)
28.03, 3.184, 1000
32.46, 2.758, 774
36.44, 2.466, 685
46.59, 1.949, 476
55.24, 1.663, 437
57.93, 1.592, 246

Atomic structure:
Cell lengths 6.7569, 6.7569, 6.7569 Å; angles 131.86, 131.86, 70.46 degrees
Sites, in units of the cell vectors:
Rb 0.2500 0.7500 0.5000
Rb 0.7500 0.2500 0.5000
Ca 0.0000 0.0000 0.0000
H 0.5000 0.5000 0.0000
F 0.1991 0.1991 0.0000
F 0.2973 0.2973 0.5945
F 0.2973 0.7027 0.0000
F 0.7027 0.2973 0.0000
F 0.7027 0.7027 0.4055
F 0.8009 0.8009 0.0000